# 1
Ac3TlZn: computed powder XRD pattern (a wavelength of 1.5418 Å), based on a structure optimized by DFT (PBE).
Kinematic intensities with the Lorentz-polarization factor, no thermal factor.

Cell and atoms:
```
data_Ac3TlZn
_chemical_formula_sum 'Ac12 Tl4 Zn4'
_cell_length_a 5.7405
_cell_length_b 21.4805
_cell_length_c 5.7365
_cell_angle_alpha 90.00
_cell_angle_beta 90.00
_cell_angle_gamma 90.00
_space_group_name_H-M_alt 'C m c m'
_space_group_IT_number 63
_space_group_name_Hall '-C 2c 2'
loop_
_atom_site_label
_atom_site_fract_x
_atom_site_fract_y
_atom_site_fract_z
Ac1 0.0000 0.0639 0.2500
Ac2 0.0000 0.2487 0.2500
Ac3 0.0000 0.4335 0.2500
Tl1 0.0000 0.1560 0.7500
Zn1 0.0000 0.3471 0.7500
```

Peak list (8 most intense, 10 to 90 degrees two-theta, in order of rising 2θ)
(hkl)	2θ (°)	I_rel
1 5 1	30.3	100
2 0 0	31.2	52
2 0 2	44.7	20
2 10 0	53.3	15
3 5 1	54.9	39
2 10 2	63.0	9
3 5 3	73.4	8
4 0 2	73.9	9

# 2
TbHoAs2O8: computed powder XRD pattern (a wavelength of 1.5418 Å), based on a structure optimized by DFT (PBE).
Kinematic intensities with the Lorentz-polarization factor, no thermal factor.

Cell and atoms:
```
data_TbHoAs2O8
_chemical_formula_sum 'Tb2 Ho2 As4 O16'
_cell_length_a 5.0473
_cell_length_b 5.0473
_cell_length_c 11.3345
_cell_angle_alpha 90.00
_cell_angle_beta 90.00
_cell_angle_gamma 90.00
_space_group_name_H-M_alt 'I -4'
_space_group_IT_number 82
loop_
_space_group_symop_operation_xyz
'x,y,z'
'y,-x,-z'
'-x,-y,z'
'-y,x,-z'
'x+1/2,y+1/2,z+1/2'
'y+1/2,-x+1/2,-z+1/2'
'-x+1/2,-y+1/2,z+1/2'
'-y+1/2,x+1/2,-z+1/2'
loop_
_atom_site_label
_atom_site_fract_x
_atom_site_fract_y
_atom_site_fract_z
Tb1 0.0000 0.0000 0.0000
Ho1 0.0000 0.5000 0.7500
As1 0.0000 0.0000 0.5000
As2 0.0000 0.5000 0.2500
O1 0.1476 0.2526 0.5796
O2 0.1503 0.7525 0.1713
```

Peak list (8 most intense, 10 to 90 degrees two-theta, in order of rising 2θ)
(hkl)	2θ (°)	I_rel
1 0 1	19.2	13
1 1 2	29.6	100
0 0 4	31.6	16
2 0 0	35.6	20
2 0 4	48.3	28
2 2 0	51.2	12
1 1 6	55.0	17
1 3 2	60.2	27